Diffraction record for Pb3WCl2O5. The X-ray powder pattern is simulated, not measured: it uses a crystal structure in Alexandria, relaxed with GGA+U and λ = 1.5418 Å (Cu Kα).
Kinematic intensities with the Lorentz-polarization factor, no thermal factor.

Top 10 peaks for 2θ from 10° to 80°, low angle first:
2θ 13.29, I = 36; 2θ 23.15, I = 76; 2θ 26.62, I = 68; 2θ 27.27, I = 33; 2θ 30.01, I = 100; 2θ 31.26, I = 69; 2θ 31.78, I = 37; 2θ 43.83, I = 35; 2θ 45.19, I = 39; 2θ 54.84, I = 54

Structure:
a = 7.249 Å, b = 7.249 Å, c = 11.262 Å
α = 90.00°, β = 90.00°, γ = 133.52°
Fractional coordinates of all 22 atoms:
Pb (0.094, 0.906, 0.750)
Pb (0.345, 0.655, 0.534)
Pb (0.345, 0.655, 0.966)
Pb (0.655, 0.345, 0.034)
Pb (0.655, 0.345, 0.466)
Pb (0.906, 0.094, 0.250)
W (0.239, 0.761, 0.250)
W (0.761, 0.239, 0.750)
Cl (0.000, 0.000, 0.000)
Cl (0.000, 0.000, 0.500)
Cl (0.474, 0.526, 0.250)
Cl (0.526, 0.474, 0.750)
O (0.040, 0.494, 0.130)
O (0.040, 0.494, 0.370)
O (0.107, 0.893, 0.250)
O (0.494, 0.040, 0.630)
O (0.494, 0.040, 0.870)
O (0.506, 0.960, 0.130)
O (0.506, 0.960, 0.370)
O (0.893, 0.107, 0.750)
O (0.960, 0.506, 0.630)
O (0.960, 0.506, 0.870)